1.
Starting from a structure optimized by DFT (PBE), the XRD peak list of Zr2HAuF was simulated for Cu Kα, 1.54184 Å.
Kinematic intensities with the Lorentz-polarization factor, no thermal factor.

Structure:
abc: 4.528 4.528 3.811
angles: 90.00 90.00 90.00
Space group P4/mmm (No. 123)
Symmetry-distinct sites (fractional):
1 Zr 0.000 0.500 0.000 x2
2 H 0.000 0.000 0.000 x1
3 Au 0.000 0.000 0.500 x1
4 F 0.500 0.500 0.500 x1

Main lines, by angle (5 to 70 degrees two-theta):
| hkl | 2theta | intensity |
| --- | --- | --- |
| 1 0 0 | 19.6 | 45.9 |
| 1 0 1 | 30.7 | 30.6 |
| 1 1 1 | 36.7 | 100.0 |
| 2 0 0 | 39.8 | 40.2 |
| 0 0 2 | 47.7 | 11.8 |
| 2 1 1 | 51.1 | 15.7 |
| 2 2 0 | 57.6 | 13.4 |
| 2 0 2 | 63.9 | 19.4 |

2.
Starting from a structure optimized by DFT (PBE), the XRD peak list of KAg2BrF2 was simulated for Cu Kα, 1.54184 Å.
Kinematic intensities with the Lorentz-polarization factor, no thermal factor.

Structure:
abc: 4.925 6.588 9.321
angles: 90.00 99.23 90.00
Space group P2_1/m (No. 11)
Symmetry-distinct sites (fractional):
1 K 0.179 0.250 0.401 x2
2 Ag 0.329 0.024 0.857 x4
3 Br 0.182 0.750 0.053 x2
4 F 0.176 0.250 0.668 x2
5 F 0.353 0.750 0.692 x2

Main lines, by angle (5 to 70 degrees two-theta):
| hkl | 2theta | intensity |
| --- | --- | --- |
| 0 0 1 | 9.6 | 100.0 |
| 1 0 -1 | 19.2 | 28.6 |
| 0 1 2 | 23.6 | 20.4 |
| 1 0 2 | 28.8 | 20.7 |
| 1 2 -1 | 33.4 | 27.8 |
| 1 2 -2 | 36.8 | 18.2 |
| 2 0 1 | 39.9 | 20.7 |
| 0 2 3 | 40.2 | 19.3 |

3.
Starting from a structure optimized by DFT (PBE), the XRD peak list of CoAg2Cl was simulated for Cu Kα, 1.54184 Å.
Kinematic intensities with the Lorentz-polarization factor, no thermal factor.

Structure:
abc: 9.100 3.000 6.547
angles: 90.00 96.89 90.00
Space group Cm (No. 8)
Symmetry-distinct sites (fractional):
1 Co 0.000 0.000 0.000 x2
2 Ag 0.017 0.500 0.656 x2
3 Ag 0.262 0.000 0.850 x2
4 Cl 0.038 0.500 0.258 x2

Main lines, by angle (5 to 70 degrees two-theta):
| hkl | 2theta | intensity |
| --- | --- | --- |
| 0 0 1 | 13.6 | 100.0 |
| 1 1 0 | 31.4 | 18.4 |
| 2 0 -2 | 31.9 | 28.0 |
| 1 1 1 | 34.9 | 51.6 |
| 4 0 0 | 39.9 | 26.8 |
| 1 1 2 | 43.0 | 35.1 |
| 3 1 -1 | 43.7 | 26.3 |
| 3 1 -2 | 49.2 | 21.5 |

4.
Starting from a structure optimized by DFT (PBE), the XRD peak list of BaLi4Hg8 was simulated for Cu Kα, 1.54184 Å.
Kinematic intensities with the Lorentz-polarization factor, no thermal factor.

Structure:
abc: 10.238 10.238 5.697
angles: 90.00 90.00 90.00
Space group I4/mmm (No. 139)
Symmetry-distinct sites (fractional):
1 Ba 0.000 0.000 0.000 x2
2 Li 0.250 0.250 0.250 x8
3 Hg 0.000 0.220 0.500 x8
4 Hg 0.000 0.346 0.000 x8

Main lines, by angle (5 to 70 degrees two-theta):
| hkl | 2theta | intensity |
| --- | --- | --- |
| 2 2 0 | 24.6 | 51.2 |
| 3 0 1 | 30.5 | 42.7 |
| 0 0 2 | 31.4 | 53.4 |
| 4 0 0 | 35.1 | 24.4 |
| 3 2 1 | 35.3 | 100.0 |
| 4 1 1 | 39.6 | 45.3 |
| 2 2 2 | 40.3 | 31.9 |
| 6 3 1 | 63.1 | 32.4 |

5.
Starting from a structure optimized by DFT (PBE), the XRD peak list of MgZn3S4 was simulated for Cu Kα, 1.54184 Å.
Kinematic intensities with the Lorentz-polarization factor, no thermal factor.

Structure:
abc: 6.365 3.893 6.754
angles: 90.00 90.05 90.00
Space group Pm (No. 6)
Symmetry-distinct sites (fractional):
1 Mg 0.000 0.000 0.000 x1
2 Zn 0.000 0.500 0.500 x1
3 Zn 0.499 0.000 0.664 x1
4 Zn 0.499 0.500 0.170 x1
5 S 0.127 0.000 0.658 x1
6 S 0.129 0.500 0.176 x1
7 S 0.613 0.000 0.999 x1
8 S 0.627 0.500 0.501 x1

Main lines, by angle (5 to 70 degrees two-theta):
| hkl | 2theta | intensity |
| --- | --- | --- |
| 0 1 1 | 26.4 | 100.0 |
| 2 0 0 | 28.0 | 58.8 |
| 1 0 2 | 30.0 | 89.6 |
| 2 1 -1 | 38.9 | 37.6 |
| 0 2 0 | 46.6 | 74.4 |
| 3 0 2 | 50.8 | 75.4 |
| 2 2 0 | 55.3 | 47.7 |
| 1 2 2 | 56.4 | 16.1 |

6.
Starting from a structure optimized by DFT (PBE), the XRD peak list of LiPaH6Rh was simulated for Cu Kα, 1.54184 Å.
Kinematic intensities with the Lorentz-polarization factor, no thermal factor.

Structure:
abc: 4.3634 4.3634 4.3326
angles: 90.00 90.00 120.00
Space group P-6m2 (No. 187)
Symmetry-distinct sites (fractional):
1 Li 0.0000 0.0000 0.0000 x1
2 Pa 0.6667 0.3333 0.5000 x1
3 H 0.1692 0.3384 0.2901 x6
4 Rh 0.3333 0.6667 0.0000 x1

Main lines, by angle (5 to 70 degrees two-theta):
| hkl | 2theta | intensity |
| --- | --- | --- |
| 1 0 0 | 23.5 | 41.6 |
| 1 0 1 | 31.4 | 100.0 |
| 1 1 0 | 41.4 | 30.8 |
| 1 0 2 | 48.4 | 13.3 |
| 2 0 1 | 52.9 | 23.9 |
| 1 1 2 | 60.2 | 21.1 |
| 2 1 1 | 69.3 | 21.2 |
| 1 0 3 | 69.7 | 10.5 |

7.
Starting from a structure optimized by DFT (PBE), the XRD peak list of SrLa3Rh8 was simulated for Cu Kα, 1.54184 Å.
Kinematic intensities with the Lorentz-polarization factor, no thermal factor.

Structure:
abc: 5.4465 5.4465 26.8290
angles: 90.00 90.00 120.00
Space group R3m (No. 160, hexagonal axes)
Symmetry-distinct sites (fractional):
1 Sr 0.0000 0.0000 0.0000 x3
2 La 0.0000 0.0000 0.3731 x3
3 La 0.0000 0.0000 0.4992 x3
4 La 0.0000 0.0000 0.8758 x3
5 Rh 0.0000 0.0000 0.1870 x3
6 Rh 0.0000 0.0000 0.6871 x3
7 Rh 0.0014 0.5007 0.4378 x9
8 Rh 0.1673 0.3345 0.2696 x9

Main lines, by angle (5 to 70 degrees two-theta):
| hkl | 2theta | intensity |
| --- | --- | --- |
| 0 1 8 | 32.8 | 21.7 |
| 1 1 0 | 32.9 | 21.5 |
| 1 0 10 | 38.6 | 33.5 |
| 2 0 2 | 38.7 | 100.0 |
| 0 2 4 | 40.5 | 34.8 |
| 3 0 6 | 62.6 | 31.9 |
| 0 2 16 | 68.7 | 17.9 |
| 2 2 0 | 69.0 | 17.8 |

8.
Starting from a structure optimized by DFT (PBE), the XRD peak list of YTm4As5 was simulated for Cu Kα, 1.54184 Å.
Kinematic intensities with the Lorentz-polarization factor, no thermal factor.

Structure:
abc: 9.114 9.114 5.765
angles: 90.00 90.00 90.00
Space group I4/m (No. 87)
Symmetry-distinct sites (fractional):
1 Y 0.000 0.000 0.000 x2
2 Tm 0.101 0.300 0.500 x8
3 As 0.000 0.000 0.500 x2
4 As 0.101 0.302 0.000 x8

Main lines, by angle (5 to 70 degrees two-theta):
| hkl | 2theta | intensity |
| --- | --- | --- |
| 1 1 0 | 13.7 | 2.0 |
| 1 0 1 | 18.2 | 2.1 |
| 2 1 1 | 26.8 | 21.1 |
| 1 3 0 | 31.0 | 100.0 |
| 4 2 0 | 44.5 | 74.3 |
| 5 0 1 | 52.7 | 10.2 |
| 4 2 2 | 55.2 | 26.1 |
| 2 6 0 | 64.7 | 12.1 |